No. 1
Computed powder diffractogram of Li4AlTlHg2 for CuKα, from a crystal structure in OQMD, relaxed with PBE.
No peak broadening, texture or thermal motion is included.

Atomic structure:
Cell lengths 4.6349, 4.6349, 6.7015 Å; angles 90.00, 90.00, 90.00 degrees
Positions (direct):
Li 0.0000 0.0000 0.0000
Li 0.0000 0.5000 0.2408
Li 0.5000 0.0000 0.7592
Li 0.5000 0.5000 0.5000
Al 0.5000 0.5000 0.0000
Tl 0.0000 0.0000 0.5000
Hg 0.0000 0.5000 0.7829
Hg 0.5000 0.0000 0.2171

Top 10 peaks for 15° ≤ 2θ ≤ 90°, sorted by position:
2θ/deg  intensity
19.15  121
23.34  1000
30.36  177
32.99  121
38.42  552
38.86  298
45.05  138
45.82  346
60.98  114
70.07  194

No. 2
Computed powder diffractogram of LuAlHgTe3 for CuKα, from a crystal structure in OQMD, relaxed with PBE.
No peak broadening, texture or thermal motion is included.

Atomic structure:
Cell lengths 8.9081, 8.9081, 11.6209 Å; angles 90.00, 90.00, 152.74 degrees
Positions (direct):
Lu 0.0000 0.0000 0.0000
Lu 0.0000 0.0000 0.5000
Al 0.4565 0.5435 0.7500
Al 0.5435 0.4565 0.2500
Hg 0.2593 0.7407 0.2500
Hg 0.7407 0.2593 0.7500
Te 0.0593 0.9407 0.7500
Te 0.3795 0.6205 0.5571
Te 0.3795 0.6205 0.9429
Te 0.6205 0.3795 0.0571
Te 0.6205 0.3795 0.4429
Te 0.9407 0.0593 0.2500

Top 10 peaks for 15° ≤ 2θ ≤ 90°, sorted by position:
2θ/deg  intensity
18.39  572
25.19  384
26.25  578
27.37  1000
30.78  368
31.85  383
34.71  287
37.04  513
43.10  358
47.40  378

No. 3
Computed powder diffractogram of NdAl2Hg for CuKα, from a crystal structure in OQMD, relaxed with PBE.
No peak broadening, texture or thermal motion is included.

Atomic structure:
Cell lengths 4.7845, 11.4363, 6.5611 Å; angles 90.00, 90.00, 90.00 degrees
Positions (direct):
Nd 0.2500 0.1659 0.0000
Nd 0.2500 0.6659 0.5000
Nd 0.7500 0.3341 0.5000
Nd 0.7500 0.8341 0.0000
Al 0.2500 0.1456 0.4863
Al 0.2500 0.4287 0.7745
Al 0.2500 0.6456 0.9863
Al 0.2500 0.9287 0.2745
Al 0.7500 0.0713 0.2745
Al 0.7500 0.3544 0.9863
Al 0.7500 0.5713 0.7745
Al 0.7500 0.8544 0.4863
Hg 0.2500 0.4153 0.2224
Hg 0.2500 0.9153 0.7224
Hg 0.7500 0.0847 0.7224
Hg 0.7500 0.5847 0.2224

Top 10 peaks for 15° ≤ 2θ ≤ 90°, sorted by position:
2θ/deg  intensity
15.57  716
24.30  593
31.44  229
33.00  349
36.61  482
36.75  1000
37.60  321
55.78  187
67.27  254
69.23  196

No. 4
Computed powder diffractogram of Nd2AlHg5 for CuKα, from a crystal structure in OQMD, relaxed with PBE.
No peak broadening, texture or thermal motion is included.

Atomic structure:
Cell lengths 4.9147, 6.7612, 11.7242 Å; angles 90.00, 90.00, 90.00 degrees
Positions (direct):
Nd 0.0000 0.0000 0.0000
Nd 0.0000 0.5000 0.5000
Nd 0.5000 0.0000 0.3337
Nd 0.5000 0.5000 0.8337
Al 0.0000 0.0000 0.5171
Al 0.0000 0.5000 0.0171
Hg 0.0000 0.2448 0.7448
Hg 0.0000 0.2552 0.2448
Hg 0.0000 0.7448 0.2448
Hg 0.0000 0.7552 0.7448
Hg 0.5000 0.0000 0.8283
Hg 0.5000 0.2343 0.5795
Hg 0.5000 0.2657 0.0795
Hg 0.5000 0.5000 0.3283
Hg 0.5000 0.7343 0.0795
Hg 0.5000 0.7657 0.5795

Top 10 peaks for 15° ≤ 2θ ≤ 90°, sorted by position:
2θ/deg  intensity
23.63  78
30.52  262
35.68  1000
36.57  210
48.34  149
54.24  197
65.25  176
66.63  159
67.19  209
89.82  77

No. 5
Computed powder diffractogram of Al2Hg2O5 for CuKα, from a crystal structure in OQMD, relaxed with PBE.
No peak broadening, texture or thermal motion is included.

Atomic structure:
Cell lengths 3.6648, 3.6648, 7.6961 Å; angles 90.00, 90.00, 90.00 degrees
Positions (direct):
Al 0.0000 0.0000 0.2365
Al 0.0000 0.0000 0.7635
Hg 0.5000 0.5000 0.0000
Hg 0.5000 0.5000 0.5000
O 0.0000 0.0000 0.0000
O 0.0000 0.5000 0.2843
O 0.0000 0.5000 0.7157
O 0.5000 0.0000 0.2843
O 0.5000 0.0000 0.7157

Top 10 peaks for 15° ≤ 2θ ≤ 90°, sorted by position:
2θ/deg  intensity
23.11  293
24.29  631
33.77  1000
34.61  401
42.04  513
49.76  247
53.81  162
59.87  191
61.50  369
71.04  153

No. 6
Computed powder diffractogram of AlHg2O4 for CuKα, from a crystal structure in OQMD, relaxed with PBE.
No peak broadening, texture or thermal motion is included.

Atomic structure:
Cell lengths 6.4097, 6.4097, 6.4097 Å; angles 60.00, 60.00, 60.00 degrees
Positions (direct):
Al 0.1250 0.1250 0.1250
Al 0.8750 0.8750 0.8750
Hg 0.0000 0.5000 0.5000
Hg 0.5000 0.0000 0.5000
Hg 0.5000 0.5000 0.0000
Hg 0.5000 0.5000 0.5000
O 0.2190 0.7603 0.7603
O 0.2397 0.2397 0.2397
O 0.2397 0.2397 0.7810
O 0.2397 0.7810 0.2397
O 0.7603 0.2190 0.7603
O 0.7603 0.7603 0.2190
O 0.7603 0.7603 0.7603
O 0.7810 0.2397 0.2397

Top 10 peaks for 15° ≤ 2θ ≤ 90°, sorted by position:
2θ/deg  intensity
16.94  962
32.77  1000
34.27  677
39.78  575
43.52  345
52.45  336
57.51  476
60.42  227
68.68  318
81.57  239